This entry pairs a crystal structure of LiCoP2O7 with its calculated PXRD pattern. Radiation: Cu Kα X-rays. Structure: a GGA+U-relaxed structure.

Principal peaks in the range 10 to 90 degrees two-theta, in order of falling intensity:
2θ = 24.74°, 3.599 Å, rel. 100.0, hkl -1 1 1; 2θ = 22.65°, 3.925 Å, rel. 70.9, hkl 1 1 1; 2θ = 21.71°, 4.094 Å, rel. 58.1, hkl 0 0 2; 2θ = 30.55°, 2.927 Å, rel. 51.1, hkl 0 1 -2; 2θ = 15.36°, 5.770 Å, rel. 48.2, hkl 0 1 0; 2θ = 35.75°, 2.512 Å, rel. 33.2, hkl 2 0 0; 2θ = 33.15°, 2.702 Å, rel. 22.5, hkl 1 2 1; 2θ = 40.84°, 2.209 Å, rel. 18.5, hkl 0 1 -3; 2θ = 35.21°, 2.549 Å, rel. 14.7, hkl 1 1 3; 2θ = 27.42°, 3.253 Å, rel. 14.6, hkl 1 1 2

Structural model:
Cell lengths 5.0427, 6.1096, 8.6560 Å; angles 71.17, 86.72, 85.37 degrees
Space group P-1 (No. 2)
Inequivalent atoms, fractional coordinates:
1 Li 0.2126 0.3090 0.0262 x2
2 Co 0.2382 0.9460 0.7601 x2
3 P 0.2169 0.2929 0.3675 x2
4 P 0.2968 0.7598 0.1578 x2
5 O 0.0543 0.7089 0.7005 x2
6 O 0.1013 0.9637 0.1645 x2
7 O 0.2247 0.6676 0.0207 x2
8 O 0.2492 0.1805 0.5479 x2
9 O 0.2620 0.5637 0.3332 x2
10 O 0.4139 0.1754 0.8567 x2
11 O 0.4330 0.2124 0.2590 x2

This entry pairs a crystal structure of LiCo2P2O8 with its calculated PXRD pattern. Radiation: Cu Kα X-rays. Structure: a GGA+U-relaxed structure.

Principal peaks in the range 10 to 90 degrees two-theta, in order of falling intensity:
2θ = 21.64°, 4.106 Å, rel. 100.0, hkl 0 1 2; 2θ = 34.94°, 2.568 Å, rel. 13.1, hkl 0 2 0; 2θ = 34.74°, 2.582 Å, rel. 12.6, hkl 4 0 0; 2θ = 26.16°, 3.406 Å, rel. 8.3, hkl 2 0 3; 2θ = 36.14°, 2.486 Å, rel. 7.7, hkl 2 1 4; 2θ = 41.44°, 2.179 Å, rel. 7.5, hkl 2 2 2; 2θ = 31.51°, 2.839 Å, rel. 6.3, hkl 2 1 3; 2θ = 41.32°, 2.185 Å, rel. 5.7, hkl 4 1 2; 2θ = 43.62°, 2.075 Å, rel. 5.6, hkl 2 0 6; 2θ = 27.63°, 3.229 Å, rel. 5.1, hkl 1 1 3

Structural model:
Cell lengths 10.3287, 5.1360, 13.6032 Å; angles 90.00, 90.00, 90.00 degrees
Space group Pca2_1 (No. 29)
Inequivalent atoms, fractional coordinates:
1 Li 0.0335 0.0561 0.0000 x4
2 Co 0.0321 0.9305 0.7494 x4
3 Co 0.2179 0.5550 0.9984 x4
4 P 0.0296 0.4361 0.6220 x4
5 P 0.2182 0.0541 0.3750 x4
6 O 0.0059 0.1386 0.6250 x4
7 O 0.0125 0.4304 0.2168 x4
8 O 0.0450 0.4513 0.0295 x4
9 O 0.0706 0.0053 0.3745 x4
10 O 0.1758 0.4967 0.6038 x4
11 O 0.2166 0.9669 0.7804 x4
12 O 0.2194 0.9145 0.9677 x4
13 O 0.2466 0.3507 0.3912 x4

This entry pairs a crystal structure of Li2CoP2O7 with its calculated PXRD pattern. Radiation: Cu Kα X-rays. Structure: a GGA+U-relaxed structure.

Principal peaks in the range 10 to 90 degrees two-theta, in order of falling intensity:
2θ = 22.06°, 4.029 Å, rel. 100.0, hkl 1 -1 0; 2θ = 23.60°, 3.770 Å, rel. 82.9, hkl 0 0 2; 2θ = 14.15°, 6.260 Å, rel. 62.8, hkl 0 1 -1; 2θ = 22.64°, 3.928 Å, rel. 57.1, hkl 1 1 0; 2θ = 35.50°, 2.529 Å, rel. 35.6, hkl 2 0 0; 2θ = 31.31°, 2.857 Å, rel. 35.0, hkl 1 2 -1; 2θ = 30.85°, 2.898 Å, rel. 27.4, hkl 1 -2 1; 2θ = 38.85°, 2.318 Å, rel. 26.2, hkl 0 3 -1; 2θ = 28.57°, 3.124 Å, rel. 21.5, hkl 1 -1 2; 2θ = 32.77°, 2.733 Å, rel. 19.2, hkl 0 1 -3

Structural model:
Cell lengths 5.0602, 7.0039, 8.2008 Å; angles 113.11, 91.14, 90.93 degrees
Space group P-1 (No. 2)
Inequivalent atoms, fractional coordinates:
1 Li 0.2082 0.1522 0.4953 x2
2 Li 0.2626 0.1871 0.0705 x2
3 Co 0.2803 0.7614 0.2217 x2
4 P 0.2132 0.5453 0.8050 x2
5 P 0.2732 0.8778 0.6778 x2
6 O 0.0809 0.4789 0.1633 x2
7 O 0.1006 0.0221 0.8234 x2
8 O 0.1908 0.8696 0.4932 x2
9 O 0.2142 0.6402 0.6525 x2
10 O 0.3540 0.3395 0.7185 x2
11 O 0.3665 0.7051 0.9654 x2
12 O 0.4271 0.0799 0.2822 x2

This entry pairs a crystal structure of LiCoP2O7 with its calculated PXRD pattern. Radiation: Cu Kα X-rays. Structure: a GGA+U-relaxed structure.

Principal peaks in the range 10 to 90 degrees two-theta, in order of falling intensity:
2θ = 16.58°, 5.348 Å, rel. 100.0, hkl 0 1 1; 2θ = 32.31°, 2.770 Å, rel. 54.5, hkl 2 0 1; 2θ = 28.91°, 3.088 Å, rel. 49.2, hkl 0 0 2; 2θ = 29.08°, 3.070 Å, rel. 48.6, hkl 0 2 1; 2θ = 14.39°, 6.154 Å, rel. 43.4, hkl 1 0 0; 2θ = 32.70°, 2.738 Å, rel. 40.7, hkl 2 0 -1; 2θ = 20.52°, 4.328 Å, rel. 39.9, hkl 1 0 -1; 2θ = 30.80°, 2.903 Å, rel. 34.9, hkl 1 2 1; 2θ = 38.27°, 2.352 Å, rel. 31.9, hkl 0 1 -2; 2θ = 15.65°, 5.663 Å, rel. 27.0, hkl 0 1 0

Structural model:
Cell lengths 6.2071, 6.2090, 6.7297 Å; angles 66.63, 86.28, 82.54 degrees
Space group P-1 (No. 2)
Inequivalent atoms, fractional coordinates:
1 Li 0.0133 0.2146 0.3308 x2
2 Co 0.3634 0.4102 0.7114 x2
3 P 0.1281 0.7186 0.2643 x2
4 P 0.3990 0.8470 0.8503 x2
5 O 0.0441 0.4361 0.7449 x2
6 O 0.0498 0.8962 0.3571 x2
7 O 0.2076 0.8533 0.0224 x2
8 O 0.3211 0.7213 0.7173 x2
9 O 0.3337 0.5436 0.3827 x2
10 O 0.3939 0.2796 0.0195 x2
11 O 0.4125 0.1040 0.6986 x2

This entry pairs a crystal structure of LiCo2P2O8 with its calculated PXRD pattern. Radiation: Cu Kα X-rays. Structure: a GGA+U-relaxed structure.

Principal peaks in the range 10 to 90 degrees two-theta, in order of falling intensity:
2θ = 21.52°, 4.129 Å, rel. 100.0, hkl 1 1 1; 2θ = 21.66°, 4.103 Å, rel. 70.8, hkl 0 0 4; 2θ = 27.39°, 3.257 Å, rel. 51.8, hkl 2 0 -4; 2θ = 34.81°, 2.578 Å, rel. 28.9, hkl 0 2 0; 2θ = 21.99°, 4.042 Å, rel. 26.9, hkl 2 0 -2; 2θ = 27.36°, 3.260 Å, rel. 25.3, hkl 1 1 3; 2θ = 31.21°, 2.865 Å, rel. 17.1, hkl 2 1 2; 2θ = 21.37°, 4.158 Å, rel. 14.8, hkl 2 0 0; 2θ = 45.30°, 2.002 Å, rel. 13.8, hkl 2 0 -8; 2θ = 37.67°, 2.388 Å, rel. 12.6, hkl 3 1 -3

Structural model:
Cell lengths 8.4801, 5.1552, 16.7351 Å; angles 90.00, 101.29, 90.00 degrees
Space group Pc (No. 7)
Inequivalent atoms, fractional coordinates:
1 Li 0.0000 0.1692 0.0000 x2
2 Li 0.3955 0.3271 0.7407 x2
3 Co 0.2688 0.3090 0.3757 x2
4 Co 0.3707 0.1741 0.1168 x2
5 Co 0.7571 0.3262 0.8638 x2
6 Co 0.8616 0.1872 0.6267 x2
7 P 0.0790 0.1909 0.8111 x2
8 P 0.1800 0.3179 0.5599 x2
9 P 0.5689 0.1859 0.3042 x2
10 P 0.6894 0.3080 0.0561 x2
11 O 0.0101 0.1896 0.5529 x2
12 O 0.1243 0.0986 0.3054 x2
13 O 0.1712 0.3862 0.0722 x2
14 O 0.2337 0.2470 0.4792 x2
15 O 0.2369 0.3569 0.8218 x2
16 O 0.2996 0.1911 0.6313 x2
17 O 0.4566 0.3013 0.2277 x2
18 O 0.4816 0.2467 0.3774 x2
19 O 0.5139 0.2224 0.0412 x2
20 O 0.5867 0.1117 0.7946 x2
21 O 0.6971 0.3987 0.5820 x2
22 O 0.7331 0.3189 0.3234 x2
23 O 0.7674 0.2766 0.9810 x2
24 O 0.7981 0.1579 0.1275 x2
25 O 0.9630 0.2702 0.7318 x2
26 O 0.9939 0.2389 0.8833 x2